# NaBiW2O8
Theoretical X-ray diffraction stick pattern, Cu Kα (λ = 1.5418 Å). Input: a PBE+U-relaxed structure.
Intensities are scaled so that the largest is 100.

a = 5.360 Å, b = 5.360 Å, c = 11.544 Å
α = 90.00°, β = 90.00°, γ = 90.00°
Space group I-4 (No. 82)
Symmetry-distinct sites (fractional):
Na1 0.000 0.000 0.000
Bi1 0.000 0.500 0.250
W1 0.000 0.000 0.500
W2 0.000 0.500 0.750
O1 0.152 0.239 0.411
O2 0.162 0.739 0.834

Principal peaks in the range 2θ from 10° to 90°, sorted by position:
d (Å)  I/Imax
4.862  22.6
3.168  100.0
2.886  14.6
2.680  22.6
1.964  30.5
1.716  17.0
1.626  28.6
1.271  20.3